1.
Computed X-ray diffraction stick pattern
Compound: LiCu2PO4
Radiation: Cu Kα (weighted mean of Kα1 and Kα2)
Structure: the PBE geometry in the Materials Project
No peak broadening, texture or thermal motion is included.

Main lines, by angle (2θ = 10–90°):
22.3°, intensity 372, hkl 1 0 1; 35.1°, intensity 1000, hkl 1 1 2; 37.3°, intensity 175, hkl 1 0 3; 46.3°, intensity 203, hkl 1 2 1; 59.5°, intensity 261, hkl 2 0 4; 69.5°, intensity 210, hkl 1 3 2

Atomic structure:
```
data_LiCu2PO4
_cell_length_a 4.509
_cell_length_b 4.509
_cell_length_c 8.567
_cell_angle_alpha 90.00
_cell_angle_beta 90.00
_cell_angle_gamma 90.00
_symmetry_space_group_name_H-M 'I -4'
_symmetry_Int_Tables_number 82
_symmetry_space_group_name_Hall 'I -4'
loop_
_atom_site_label
_atom_site_type_symbol
_atom_site_fract_x
_atom_site_fract_y
_atom_site_fract_z
Li1 Li 0.000 0.000 0.000
Cu1 Cu 0.000 0.000 0.500
Cu2 Cu 0.000 0.500 0.250
P1 P 0.000 0.500 0.750
O1 O 0.184 0.712 0.856
```

2.
Computed X-ray diffraction stick pattern
Compound: Li4CuP2O8
Radiation: Cu Kα (weighted mean of Kα1 and Kα2)
Structure: the PBE geometry in the Materials Project
No peak broadening, texture or thermal motion is included.

Main lines, by angle (2θ = 10–90°):
14.0°, intensity 520, hkl 1 0 0; 21.7°, intensity 743, hkl 1 0 -2; 22.6°, intensity 1000, hkl 1 1 0; 33.3°, intensity 381, hkl 2 0 2; 33.9°, intensity 395, hkl 0 0 4; 35.9°, intensity 409, hkl 0 2 0

Atomic structure:
```
data_Li4CuP2O8
_cell_length_a 6.345
_cell_length_b 5.002
_cell_length_c 10.569
_cell_angle_alpha 90.00
_cell_angle_beta 91.26
_cell_angle_gamma 90.00
_symmetry_space_group_name_H-M 'P 1 c 1'
_symmetry_Int_Tables_number 7
_symmetry_space_group_name_Hall 'P -2yc'
loop_
_atom_site_label
_atom_site_type_symbol
_atom_site_fract_x
_atom_site_fract_y
_atom_site_fract_z
Li1 Li 0.000 0.042 0.000
Li2 Li 0.244 0.066 0.763
Li3 Li 0.249 0.441 0.087
Li4 Li 0.737 0.439 0.078
Cu1 Cu 0.716 0.077 0.763
P1 P 0.490 0.073 0.518
P2 P 0.990 0.451 0.331
O1 O 0.178 0.446 0.757
O2 O 0.295 0.047 0.083
O3 O 0.490 0.023 0.878
O4 O 0.490 0.377 0.528
O5 O 0.703 0.037 0.082
O6 O 0.780 0.460 0.759
O7 O 0.987 0.136 0.332
O8 O 0.989 0.444 0.969
```

3.
Computed X-ray diffraction stick pattern
Compound: Li5Cu6P8O28
Radiation: Cu Kα (weighted mean of Kα1 and Kα2)
Structure: the PBE geometry in the Materials Project
No peak broadening, texture or thermal motion is included.

Main lines, by angle (2θ = 10–90°):
19.0°, intensity 525, hkl 1 1 -1; 26.4°, intensity 565, hkl 1 2 -1; 27.0°, intensity 1000, hkl 0 0 3; 28.8°, intensity 522, hkl -1 2 1; 31.2°, intensity 568, hkl 2 1 0; 33.2°, intensity 470, hkl 0 3 0

Atomic structure:
```
data_Li5Cu6P8O28
_cell_length_a 6.265
_cell_length_b 8.374
_cell_length_c 10.236
_cell_angle_alpha 104.43
_cell_angle_beta 90.98
_cell_angle_gamma 92.78
_symmetry_space_group_name_H-M 'P -1'
_symmetry_Int_Tables_number 2
_symmetry_space_group_name_Hall '-P 1'
loop_
_atom_site_label
_atom_site_type_symbol
_atom_site_fract_x
_atom_site_fract_y
_atom_site_fract_z
Li1 Li 0.000 0.000 0.000
Li2 Li 0.400 0.888 0.374
Li3 Li 0.486 0.340 0.890
Cu1 Cu 0.000 0.000 0.500
Cu2 Cu 0.146 0.617 0.444
Cu3 Cu 0.192 0.612 0.852
Cu4 Cu 0.500 0.000 0.000
P1 P 0.031 0.738 0.182
P2 P 0.234 0.969 0.762
P3 P 0.313 0.315 0.186
P4 P 0.345 0.291 0.478
O1 O 0.041 0.082 0.834
O2 O 0.105 0.402 0.222
O3 O 0.110 0.778 0.331
O4 O 0.155 0.878 0.620
O5 O 0.168 0.416 0.522
O6 O 0.174 0.374 0.847
O7 O 0.207 0.693 0.083
O8 O 0.250 0.855 0.862
O9 O 0.276 0.111 0.475
O10 O 0.276 0.141 0.092
O11 O 0.416 0.296 0.329
O12 O 0.433 0.081 0.774
O13 O 0.456 0.663 0.430
O14 O 0.485 0.417 0.132
```

4.
Computed X-ray diffraction stick pattern
Compound: LiCu2PO4
Radiation: Cu Kα (weighted mean of Kα1 and Kα2)
Structure: the PBE geometry in the Materials Project
No peak broadening, texture or thermal motion is included.

Main lines, by angle (2θ = 10–90°):
14.3°, intensity 740, hkl 0 1 0; 32.2°, intensity 449, hkl 2 0 0; 32.8°, intensity 549, hkl 1 2 0; 34.8°, intensity 1000, hkl 0 0 4; 37.0°, intensity 611, hkl 1 2 2; 37.7°, intensity 432, hkl 1 -2 2

Atomic structure:
```
data_LiCu2PO4
_cell_length_a 5.569
_cell_length_b 6.199
_cell_length_c 10.317
_cell_angle_alpha 89.74
_cell_angle_beta 88.81
_cell_angle_gamma 88.89
_symmetry_space_group_name_H-M 'P 1'
_symmetry_Int_Tables_number 1
_symmetry_space_group_name_Hall 'P 1'
loop_
_atom_site_label
_atom_site_type_symbol
_atom_site_fract_x
_atom_site_fract_y
_atom_site_fract_z
Li1 Li 0.000 0.000 0.000
Li2 Li 0.010 0.002 0.504
Li3 Li 0.180 0.252 0.751
Li4 Li 0.528 0.254 0.509
Cu1 Cu 0.209 0.741 0.745
Cu2 Cu 0.210 0.738 0.245
Cu3 Cu 0.220 0.265 0.240
Cu4 Cu 0.505 0.719 0.014
Cu5 Cu 0.506 0.717 0.522
Cu6 Cu 0.512 0.278 0.012
Cu7 Cu 0.615 0.496 0.255
Cu8 Cu 0.624 0.512 0.763
P1 P 0.029 0.492 0.502
P2 P 0.030 0.500 0.995
P3 P 0.693 0.012 0.749
P4 P 0.701 0.000 0.258
O1 O 0.033 0.492 0.351
O2 O 0.034 0.497 0.845
O3 O 0.148 0.709 0.548
O4 O 0.150 0.710 0.044
O5 O 0.154 0.285 0.043
O6 O 0.171 0.294 0.557
O7 O 0.535 0.212 0.795
O8 O 0.556 0.198 0.318
O9 O 0.557 0.800 0.309
O10 O 0.557 0.813 0.808
O11 O 0.693 0.004 0.599
O12 O 0.700 0.007 0.108
O13 O 0.764 0.487 0.554
O14 O 0.770 0.501 0.053
O15 O 0.951 0.017 0.803
O16 O 0.959 0.996 0.312
```